Calculated X-ray powder pattern
Compound: Cs2ScIrCl6
Radiation: Cu Ka
Structure: a PBE-relaxed structure
Lines closer than 0.1° are merged.

The 10 most intense peaks (2θ = 10–80°), in order of rising 2θ:
2θ = 14.87°, intensity 32, hkl 1 0 1; 2θ = 24.24°, intensity 51, hkl 2 0 0; 2θ = 24.48°, intensity 100, hkl 1 1 2; 2θ = 30.00°, intensity 21, hkl 2 0 2; 2θ = 34.54°, intensity 58, hkl 2 2 0; 2θ = 35.25°, intensity 28, hkl 0 0 4; 2θ = 42.80°, intensity 46, hkl 3 1 2; 2θ = 43.24°, intensity 22, hkl 2 0 4; 2θ = 49.65°, intensity 20, hkl 4 0 0; 2θ = 50.18°, intensity 38, hkl 2 2 4

Structural model:
a = 7.3441 Å, b = 7.3441 Å, c = 10.1847 Å
α = 90.00°, β = 90.00°, γ = 90.00°
Space group I4/mmm (No. 139)
Inequivalent atoms, fractional coordinates:
Cs: 0.0000 0.5000 0.2500 (multiplicity 4)
Sc: 0.0000 0.0000 0.0000 (multiplicity 2)
Ir: 0.0000 0.0000 0.5000 (multiplicity 2)
Cl: 0.0000 0.0000 0.2496 (multiplicity 4)
Cl: 0.2441 0.2441 0.0000 (multiplicity 8)

Calculated X-ray powder pattern
Compound: CeSm2Ge3Ir4
Radiation: Cu Ka
Structure: a PBE-relaxed structure
Lines closer than 0.1° are merged.

The 10 most intense peaks (2θ = 10–80°), in order of rising 2θ:
2θ = 26.47°, intensity 18, hkl 1 0 2; 2θ = 32.13°, intensity 24, hkl 1 0 3; 2θ = 34.00°, intensity 100, hkl 1 1 2; 2θ = 38.82°, intensity 14, hkl 1 0 4; 2θ = 42.66°, intensity 53, hkl 2 0 0; 2θ = 44.52°, intensity 29, hkl 1 1 4; 2θ = 46.20°, intensity 19, hkl 1 0 5; 2θ = 61.92°, intensity 18, hkl 2 2 0; 2θ = 64.69°, intensity 14, hkl 2 1 5; 2θ = 72.56°, intensity 22, hkl 3 1 2

Structural model:
a = 4.2389 Å, b = 4.2389 Å, c = 11.0870 Å
α = 90.00°, β = 90.00°, γ = 90.00°
Space group P-4m2 (No. 115)
Inequivalent atoms, fractional coordinates:
Ce: 0.0000 0.0000 0.0000 (multiplicity 1)
Sm: 0.0000 0.5000 0.7223 (multiplicity 2)
Ge: 0.0000 0.5000 0.3762 (multiplicity 2)
Ge: 0.5000 0.5000 0.0000 (multiplicity 1)
Ir: 0.0000 0.0000 0.5000 (multiplicity 1)
Ir: 0.0000 0.5000 0.1544 (multiplicity 2)
Ir: 0.5000 0.5000 0.5000 (multiplicity 1)

Calculated X-ray powder pattern
Compound: Ac8GePt6
Radiation: Cu Ka
Structure: a PBE-relaxed structure
Lines closer than 0.1° are merged.

The 10 most intense peaks (2θ = 10–80°), in order of rising 2θ:
2θ = 27.38°, intensity 56, hkl 0 2 1; 2θ = 28.70°, intensity 27, hkl 3 0 0; 2θ = 32.11°, intensity 100, hkl 3 -1 1; 2θ = 34.67°, intensity 41, hkl 1 3 0; 2θ = 38.85°, intensity 17, hkl 2 2 1; 2θ = 39.60°, intensity 27, hkl 0 0 2; 2θ = 40.08°, intensity 26, hkl 3 1 1; 2θ = 53.63°, intensity 23, hkl 1 3 2; 2θ = 67.17°, intensity 22, hkl 1 2 3; 2θ = 74.12°, intensity 22, hkl 7 0 1

Structural model:
a = 10.7734 Å, b = 10.7734 Å, c = 4.5514 Å
α = 90.00°, β = 90.00°, γ = 120.00°
Space group P-3 (No. 147)
Inequivalent atoms, fractional coordinates:
Ac: 0.0570 0.3152 0.2483 (multiplicity 6)
Ac: 0.3333 0.6667 0.7476 (multiplicity 2)
Ge: 0.0000 0.0000 0.0000 (multiplicity 1)
Pt: 0.0829 0.6127 0.2468 (multiplicity 6)